Starting from a structure optimized by DFT (PBE), the powder XRD pattern of AcSiGePt6 was simulated for λ = 1.5418 Å (Cu Kα).
No peak broadening, texture or thermal motion is included.

Cell and atoms:
abc: 8.1070 8.1070 8.1070
angles: 122.69 117.80 89.63
Fractional coordinates of all 18 atoms:
Ac: 0.3953 0.1453 0.2500
Ac: 0.6047 0.8547 0.7500
Si: 0.0000 0.5000 0.5000
Si: 0.5000 0.5000 0.0000
Ge: 0.0000 0.0000 0.5000
Ge: 0.0000 0.5000 0.0000
Pt: 0.1052 0.3833 0.2440
Pt: 0.1052 0.8612 0.7219
Pt: 0.1282 0.8782 0.2500
Pt: 0.3443 0.5943 0.7500
Pt: 0.3607 0.1388 0.7440
Pt: 0.3607 0.6167 0.2219
Pt: 0.6393 0.3833 0.7781
Pt: 0.6393 0.8612 0.2560
Pt: 0.6557 0.4057 0.2500
Pt: 0.8718 0.1218 0.7500
Pt: 0.8948 0.1388 0.2781
Pt: 0.8948 0.6167 0.7560

Most intense lines, 2θ = 10–90°, sorted by position:
d/Å, two_theta, intensity
3.371, 26.4, 16
2.875, 31.1, 46
2.849, 31.4, 100
2.094, 43.2, 27
2.024, 44.8, 92
1.944, 46.7, 23
1.693, 54.2, 18
1.610, 57.2, 16
1.424, 65.5, 16
1.276, 74.3, 15